Structure and computed XRD peak list of SiH2CSO3F3 (a structure optimized by DFT (GGA-PBE); copper Kα).

The 10 most intense peaks (10 to 90 degrees two-theta), by angle:
16.06 deg, I 100
16.65 deg, I 56
20.46 deg, I 36
20.93 deg, I 12
26.72 deg, I 10
27.37 deg, I 24
30.90 deg, I 19
31.42 deg, I 12
39.44 deg, I 9
39.73 deg, I 10

Crystal structure
```
data_SiH2CSO3F3
_cell_length_a 9.5625
_cell_length_b 7.0183
_cell_length_c 11.4013
_cell_angle_alpha 90.00
_cell_angle_beta 110.90
_cell_angle_gamma 90.00
_space_group_name_H-M_alt 'P 1 21/c 1'
_space_group_IT_number 14
loop_
_space_group_symop_operation_xyz
'x,y,z'
'-x,-y,-z'
'-x,y+1/2,-z+1/2'
'x,-y+1/2,z+1/2'
loop_
_atom_site_label
_atom_site_type_symbol
_atom_site_fract_x
_atom_site_fract_y
_atom_site_fract_z
Si1 Si 0.0060 0.0466 0.4014
H1 H 0.0966 0.5822 0.8538
H2 H 0.1368 0.6086 0.1953
C1 C 0.3942 0.2440 0.0679
S1 S 0.2074 0.1436 0.0512
O1 O 0.1087 0.2398 0.9270
O2 O 0.1727 0.2186 0.1559
O3 O 0.2148 0.5569 0.5319
F1 F 0.3890 0.0639 0.5755
F2 F 0.4308 0.1965 0.9683
F3 F 0.4977 0.1751 0.1738
```